Simulated powder X-ray diffraction pattern of InGa for Cu Kα, 1.54184 Å, from a crystal structure in Alexandria, relaxed with PBE.
Intensities are scaled so that the largest is 100.

Peak list (8 most intense, 15 to 90 degrees two-theta, sorted by position)
d/Å  2θ/deg  I (rel.)  h k l
3.105  28.75  17  2 2 0
3.070  29.09  26  2 1 1
2.516  35.69  100  3 0 1
2.461  36.51  26  0 0 2
2.070  43.73  25  3 3 0
1.584  58.24  21  3 3 2
1.431  65.18  16  3 0 3
1.265  75.08  14  6 3 1

Structure:
```
data_InGa
_symmetry_space_group_name_H-M 'I 4/m m m'
_symmetry_Int_Tables_number 139
_symmetry_space_group_name_Hall '-I 4 2'
_cell_length_a 8.782
_cell_length_b 8.782
_cell_length_c 4.922
_cell_angle_alpha 90.00
_cell_angle_beta 90.00
_cell_angle_gamma 90.00
loop_
_atom_site_label
_atom_site_fract_x
_atom_site_fract_y
_atom_site_fract_z
_atom_site_occupancy
In1 0.000 0.304 0.000 1
Ga1 0.156 0.156 0.500 1
```